Calculated PXRD pattern
Compound: La3Nd8Ho
Radiation: λ = 1.5418 Å (Cu Kα)
Structure: the PBE geometry in Alexandria

Top 6 peaks for 10 to 90 degrees two-theta, low angle first:
| h k l | Position (°2θ) | Rel. int. |
| --- | --- | --- |
| 0 0 4 | 30.4 | 38.9 |
| 1 3 2 | 30.8 | 100.0 |
| 2 2 0 | 30.9 | 27.3 |
| 2 2 2 | 34.5 | 43.6 |
| 2 2 4 | 43.9 | 20.7 |
| 1 3 6 | 54.3 | 20.0 |

Structural model:
Unit cell a=6.691 b=11.574 c=11.745 alpha=90.00 beta=90.00 gamma=90.00
Space group Immm (No. 71)
Unique sites:
La1 0.000 0.000 0.000 x2
La2 0.000 0.500 0.245 x4
Nd1 0.000 0.166 0.252 x8
Nd2 0.242 0.260 0.000 x8
Ho1 0.000 0.000 0.500 x2